1.
Simulated PXRD pattern of K2NaMoF6 for λ = 1.5418 Å (Cu Kα), from a crystal structure in the Materials Project, relaxed with PBE+U.

Largest 10 diffraction maxima, sorted by position, 10 to 90 degrees two-theta:
- 17.7 deg, 5.025 Å, intensity 54
- 20.4 deg, 4.352 Å, intensity 29
- 29.0 deg, 3.077 Å, intensity 100
- 34.2 deg, 2.624 Å, intensity 24
- 41.5 deg, 2.176 Å, intensity 67
- 46.7 deg, 1.946 Å, intensity 12
- 51.4 deg, 1.777 Å, intensity 37
- 60.1 deg, 1.539 Å, intensity 38
- 68.1 deg, 1.376 Å, intensity 16
- 83.0 deg, 1.163 Å, intensity 19

Crystal structure
Unit cell a=8.7034 b=8.7034 c=8.7034 alpha=90.00 beta=90.00 gamma=90.00
Space group Fm-3m (No. 225)
One atom of each set of equivalent atoms:
1 K 0.2500 0.2500 0.2500
2 Na 0.0000 0.0000 0.0000
3 Mo 0.0000 0.0000 0.5000
4 F 0.0000 0.0000 0.2594


2.
Simulated PXRD pattern of KNaMoO2F4 for λ = 1.5418 Å (Cu Kα), from a crystal structure in the Materials Project, relaxed with PBE+U.

Largest 10 diffraction maxima, sorted by position, 10 to 90 degrees two-theta:
- 10.5 deg, 8.464 Å, intensity 24
- 18.0 deg, 4.936 Å, intensity 100
- 20.7 deg, 4.297 Å, intensity 59
- 21.0 deg, 4.232 Å, intensity 34
- 29.4 deg, 3.038 Å, intensity 25
- 29.6 deg, 3.015 Å, intensity 60
- 34.7 deg, 2.588 Å, intensity 23
- 42.1 deg, 2.148 Å, intensity 45
- 52.3 deg, 1.750 Å, intensity 22
- 61.5 deg, 1.508 Å, intensity 21

Crystal structure
Unit cell a=6.0768 b=6.0768 c=8.4639 alpha=90.00 beta=90.00 gamma=90.00
Space group P4/nmm (No. 129, origin choice 2)
One atom of each set of equivalent atoms:
1 K 0.2500 0.7500 0.0000
2 Na 0.2500 0.2500 0.2729
3 Mo 0.2500 0.2500 0.7539
4 O 0.2500 0.2500 0.5445
5 O 0.2500 0.2500 0.9729
6 F 0.0201 0.0201 0.7621


3.
Simulated PXRD pattern of K2NaMoO3F3 for λ = 1.5418 Å (Cu Kα), from a crystal structure in the Materials Project, relaxed with PBE+U.

Largest 10 diffraction maxima, sorted by position, 10 to 90 degrees two-theta:
- 17.9 deg, 4.946 Å, intensity 100
- 29.2 deg, 3.056 Å, intensity 48
- 29.5 deg, 3.025 Å, intensity 60
- 29.7 deg, 3.007 Å, intensity 53
- 41.5 deg, 2.174 Å, intensity 29
- 42.1 deg, 2.148 Å, intensity 31
- 43.0 deg, 2.105 Å, intensity 27
- 51.9 deg, 1.762 Å, intensity 21
- 52.2 deg, 1.751 Å, intensity 22
- 60.6 deg, 1.528 Å, intensity 16

Crystal structure
Unit cell a=8.4210 b=8.5914 c=8.6959 alpha=90.00 beta=90.00 gamma=90.00
Space group Fmm2 (No. 42)
One atom of each set of equivalent atoms:
1 K 0.2500 0.2500 0.0000
2 Na 0.0000 0.0000 0.2559
3 Mo 0.0000 0.0000 0.7385
4 O 0.0000 0.0000 0.5339
5 O 0.2140 0.0000 0.7782
6 F 0.0000 0.0000 0.9957
7 F 0.0000 0.2355 0.7566


4.
Simulated PXRD pattern of K2NaMoO3F3 for λ = 1.5418 Å (Cu Kα), from a crystal structure in the Materials Project, relaxed with PBE+U.

Largest 10 diffraction maxima, sorted by position, 10 to 90 degrees two-theta:
- 17.9 deg, 4.949 Å, intensity 94
- 20.8 deg, 4.261 Å, intensity 26
- 29.4 deg, 3.039 Å, intensity 100
- 29.6 deg, 3.013 Å, intensity 50
- 34.9 deg, 2.574 Å, intensity 20
- 41.7 deg, 2.168 Å, intensity 27
- 42.4 deg, 2.131 Å, intensity 55
- 52.0 deg, 1.760 Å, intensity 20
- 52.4 deg, 1.745 Å, intensity 34
- 61.0 deg, 1.520 Å, intensity 28

Crystal structure
Unit cell a=6.0260 b=6.0260 c=8.6731 alpha=90.00 beta=90.00 gamma=90.00
Space group P4_2nm (No. 102)
One atom of each set of equivalent atoms:
1 K 0.0000 0.5000 0.0000
2 Na 0.0000 0.0000 0.2471
3 Mo 0.0000 0.0000 0.7643
4 O 0.0000 0.0000 0.9693
5 O 0.2124 0.2124 0.7225
6 F 0.0000 0.0000 0.5073
7 F 0.2362 0.7638 0.7449


5.
Simulated PXRD pattern of K5Mo4O14F for λ = 1.5418 Å (Cu Kα), from a crystal structure in the Materials Project, relaxed with PBE+U.

Largest 10 diffraction maxima, sorted by position, 10 to 90 degrees two-theta:
- 14.5 deg, 6.089 Å, intensity 68
- 16.2 deg, 5.455 Å, intensity 90
- 20.8 deg, 4.263 Å, intensity 20
- 26.5 deg, 3.364 Å, intensity 30
- 26.7 deg, 3.340 Å, intensity 100
- 27.3 deg, 3.273 Å, intensity 19
- 27.4 deg, 3.258 Å, intensity 46
- 29.3 deg, 3.044 Å, intensity 46
- 32.2 deg, 2.782 Å, intensity 45
- 52.6 deg, 1.739 Å, intensity 20

Crystal structure
Unit cell a=18.2246 b=10.9098 c=8.6333 alpha=90.00 beta=98.04 gamma=90.00
Space group C2/c (No. 15)
One atom of each set of equivalent atoms:
1 K 0.0000 0.0590 0.2500
2 K 0.1139 0.4320 0.2721
3 K 0.2202 0.1028 0.0909
4 Mo 0.0476 0.2543 0.9288
5 Mo 0.1509 0.2177 0.6038
6 O 0.0010 0.3218 0.4291
7 O 0.0613 0.1878 0.6913
8 O 0.0715 0.1066 0.0053
9 O 0.1349 0.3318 0.9503
10 O 0.1437 0.1596 0.4110
11 O 0.1728 0.3761 0.5997
12 O 0.2242 0.1393 0.7223
13 F 0.0000 0.3923 0.7500


6.
Simulated PXRD pattern of K3Mo4O16F for λ = 1.5418 Å (Cu Kα), from a crystal structure in the Materials Project, relaxed with PBE+U.

Largest 10 diffraction maxima, sorted by position, 10 to 90 degrees two-theta:
- 12.5 deg, 7.095 Å, intensity 50
- 12.9 deg, 6.875 Å, intensity 100
- 15.2 deg, 5.829 Å, intensity 36
- 23.2 deg, 3.833 Å, intensity 28
- 26.1 deg, 3.410 Å, intensity 75
- 26.6 deg, 3.351 Å, intensity 67
- 27.5 deg, 3.241 Å, intensity 25
- 28.2 deg, 3.167 Å, intensity 49
- 31.4 deg, 2.850 Å, intensity 25
- 31.8 deg, 2.816 Å, intensity 34

Crystal structure
Unit cell a=7.9969 b=10.5546 c=10.8712 alpha=104.54 beta=98.94 gamma=104.76
Space group P-1 (No. 2)
One atom of each set of equivalent atoms:
1 K 0.1205 0.4980 0.3330
2 K 0.1519 0.8526 0.0320
3 K 0.3160 0.8860 0.6441
4 Mo 0.1435 0.2440 0.6760
5 Mo 0.2708 0.4791 0.9866
6 Mo 0.4006 0.5643 0.7138
7 Mo 0.4041 0.2072 0.9951
8 O 0.0053 0.7335 0.4476
9 O 0.0662 0.1672 0.2924
10 O 0.0948 0.4109 0.0512
11 O 0.1758 0.4656 0.8110
12 O 0.1788 0.0882 0.6103
13 O 0.1905 0.1293 0.3347
14 O 0.2157 0.1301 0.0454
15 O 0.2336 0.5823 0.5992
16 O 0.2875 0.2815 0.8734
17 O 0.3376 0.6611 0.0640
18 O 0.3614 0.3652 0.6569
19 O 0.3998 0.7289 0.3233
20 O 0.4057 0.3909 0.3398
21 O 0.4176 0.7422 0.8423
22 O 0.4481 0.0682 0.8930
23 O 0.4635 0.4363 0.0926
24 F 0.0535 0.8195 0.2422


7.
Simulated PXRD pattern of K2NaNiF6 for λ = 1.5418 Å (Cu Kα), from a crystal structure in the Materials Project, relaxed with PBE+U.

Largest 10 diffraction maxima, sorted by position, 10 to 90 degrees two-theta:
- 18.4 deg, 4.817 Å, intensity 41
- 21.3 deg, 4.172 Å, intensity 16
- 30.3 deg, 2.950 Å, intensity 100
- 37.3 deg, 2.408 Å, intensity 23
- 43.4 deg, 2.086 Å, intensity 77
- 53.8 deg, 1.703 Å, intensity 34
- 63.0 deg, 1.475 Å, intensity 41
- 71.5 deg, 1.319 Å, intensity 17
- 79.6 deg, 1.204 Å, intensity 12
- 87.5 deg, 1.115 Å, intensity 18

Crystal structure
Unit cell a=8.3432 b=8.3432 c=8.3432 alpha=90.00 beta=90.00 gamma=90.00
Space group Fm-3m (No. 225)
One atom of each set of equivalent atoms:
1 K 0.2500 0.2500 0.2500
2 Na 0.0000 0.0000 0.0000
3 Ni 0.0000 0.0000 0.5000
4 F 0.0000 0.0000 0.2703


8.
Simulated PXRD pattern of KNaWO2F4 for λ = 1.5418 Å (Cu Kα), from a crystal structure in the Materials Project, relaxed with PBE+U.

Largest 10 diffraction maxima, sorted by position, 10 to 90 degrees two-theta:
- 17.8 deg, 4.971 Å, intensity 100
- 20.4 deg, 4.363 Å, intensity 49
- 21.2 deg, 4.197 Å, intensity 24
- 28.9 deg, 3.085 Å, intensity 21
- 29.5 deg, 3.024 Å, intensity 45
- 34.2 deg, 2.621 Å, intensity 30
- 35.2 deg, 2.548 Å, intensity 14
- 41.4 deg, 2.181 Å, intensity 23
- 51.7 deg, 1.769 Å, intensity 18
- 54.7 deg, 1.677 Å, intensity 13

Crystal structure
Unit cell a=6.1697 b=6.1697 c=8.3935 alpha=90.00 beta=90.00 gamma=90.00
Space group P4/nmm (No. 129, origin choice 2)
One atom of each set of equivalent atoms:
1 K 0.2500 0.7500 0.0000
2 Na 0.2500 0.2500 0.2737
3 W 0.2500 0.2500 0.7589
4 O 0.2500 0.2500 0.5443
5 O 0.2500 0.2500 0.9817
6 F 0.0238 0.0238 0.7677